Calculated powder XRD pattern
Compound: MgCrF5
Radiation: Cu Kα
Structure: DFT lattice parameters and positions (PBE+U)
No peak broadening, texture or thermal motion is included.

Top 10 peaks for 10° ≤ 2θ ≤ 90°, by angle:
- hkl 1 1 0, 18.3°, rel. 32.3
- hkl 2 0 0, 23.2°, rel. 94.3
- hkl 2 0 -2, 26.8°, rel. 21.7
- hkl 1 1 -2, 28.0°, rel. 100.0
- hkl 0 2 0, 28.6°, rel. 42.8
- hkl 4 0 0, 47.4°, rel. 37.4
- hkl 2 0 -4, 49.3°, rel. 23.1
- hkl 1 3 -2, 50.3°, rel. 41.9
- hkl 5 1 -2, 56.0°, rel. 32.8
- hkl 3 3 2, 71.6°, rel. 23.3

Crystal structure
Cell: 8.524 6.251 7.396 Å, 90.00 115.82 90.00°
Space group C2/c (No. 15)
Asymmetric unit:
1 Mg 0.000 0.024 0.250 [4 per cell]
2 Cr 0.000 0.500 0.000 [4 per cell]
3 F 0.000 0.389 0.250 [4 per cell]
4 F 0.012 0.196 0.954 [8 per cell]
5 F 0.249 0.471 0.630 [8 per cell]